Diffraction record for NbVAs2Br. The powder diffractogram is simulated, not measured: it uses a DFT-relaxed cell (PBE, Alexandria) and copper Kα.
Kinematic intensities with the Lorentz-polarization factor, no thermal factor.

Atomic structure:
a = 4.729 Å, b = 4.729 Å, c = 5.048 Å
α = 90.00°, β = 90.00°, γ = 90.00°
Space group P4/mmm (No. 123)
One atom of each set of equivalent atoms:
Nb 0.000 0.000 0.000 [1 per cell]
V 0.500 0.500 0.500 [1 per cell]
As 0.000 0.500 0.500 [2 per cell]
Br 0.500 0.500 0.000 [1 per cell]

Peak list (12 most intense, 10° ≤ 2θ ≤ 90°, by angle)
| (hkl) | 2theta | I_rel |
| --- | --- | --- |
| 1 0 1 | 25.8 | 9 |
| 1 1 1 | 32.1 | 100 |
| 0 0 2 | 35.6 | 35 |
| 2 0 0 | 38.1 | 57 |
| 2 0 2 | 53.1 | 43 |
| 2 2 0 | 54.9 | 19 |
| 1 1 3 | 61.7 | 16 |
| 3 1 1 | 65.0 | 26 |
| 2 2 2 | 67.2 | 21 |
| 4 0 0 | 81.4 | 6 |
| 3 1 3 | 87.2 | 12 |
| 2 0 4 | 87.6 | 10 |

---

Diffraction record for Nd4As2PBr. The powder diffractogram is simulated, not measured: it uses a DFT-relaxed cell (PBE, Alexandria) and copper Kα.
Kinematic intensities with the Lorentz-polarization factor, no thermal factor.

Atomic structure:
a = 7.320 Å, b = 4.238 Å, c = 7.425 Å
α = 90.00°, β = 109.21°, γ = 90.00°
Space group P2/m (No. 10)
One atom of each set of equivalent atoms:
Nd 0.235 0.000 0.228 [2 per cell]
Nd 0.248 0.500 0.764 [2 per cell]
As 0.000 0.000 0.500 [1 per cell]
As 0.000 0.500 0.000 [1 per cell]
P 0.500 0.000 0.000 [1 per cell]
Br 0.500 0.500 0.500 [1 per cell]

Peak list (12 most intense, 10° ≤ 2θ ≤ 90°, by angle)
| (hkl) | 2theta | I_rel |
| --- | --- | --- |
| 0 0 2 | 25.4 | 6 |
| 1 1 -1 | 25.7 | 19 |
| 2 0 -2 | 29.7 | 100 |
| 1 1 -3 | 42.3 | 36 |
| 0 2 0 | 42.7 | 37 |
| 0 0 4 | 52.2 | 6 |
| 2 2 -2 | 52.9 | 13 |
| 4 0 0 | 53.0 | 6 |
| 4 0 -4 | 61.7 | 12 |
| 3 1 -5 | 69.7 | 15 |
| 5 1 -3 | 70.3 | 11 |
| 1 3 -3 | 77.9 | 8 |

---

Diffraction record for Ni2AsBr2. The powder diffractogram is simulated, not measured: it uses a DFT-relaxed cell (PBE, Alexandria) and copper Kα.
Kinematic intensities with the Lorentz-polarization factor, no thermal factor.

Atomic structure:
a = 7.104 Å, b = 7.104 Å, c = 3.431 Å
α = 90.00°, β = 90.00°, γ = 90.00°
Space group P4/mbm (No. 127)
One atom of each set of equivalent atoms:
Ni 0.153 0.347 0.000 [4 per cell]
As 0.000 0.000 0.000 [2 per cell]
Br 0.159 0.659 0.500 [4 per cell]

Peak list (12 most intense, 10° ≤ 2θ ≤ 90°, by angle)
| (hkl) | 2theta | I_rel |
| --- | --- | --- |
| 1 1 1 | 31.6 | 12 |
| 2 2 0 | 35.7 | 9 |
| 2 0 1 | 36.4 | 12 |
| 2 1 1 | 38.6 | 100 |
| 3 1 0 | 40.1 | 49 |
| 0 0 2 | 53.4 | 13 |
| 3 3 0 | 54.8 | 7 |
| 4 2 0 | 58.1 | 7 |
| 4 1 1 | 60.1 | 15 |
| 3 1 2 | 68.9 | 19 |
| 5 2 1 | 77.5 | 17 |
| 6 0 0 | 81.2 | 6 |

---

Diffraction record for Sm6Ni2AsBr3. The powder diffractogram is simulated, not measured: it uses a DFT-relaxed cell (PBE, Alexandria) and copper Kα.
Kinematic intensities with the Lorentz-polarization factor, no thermal factor.

Atomic structure:
a = 18.903 Å, b = 4.011 Å, c = 8.982 Å
α = 90.00°, β = 106.88°, γ = 90.00°
Space group C2/m (No. 12)
One atom of each set of equivalent atoms:
Sm 0.015 0.000 0.236 [4 per cell]
Sm 0.163 0.500 0.126 [4 per cell]
Sm 0.177 0.500 0.548 [4 per cell]
Ni 0.167 0.000 0.335 [4 per cell]
As 0.000 0.500 0.000 [2 per cell]
Br 0.000 0.500 0.500 [2 per cell]
Br 0.160 0.000 0.837 [4 per cell]

Peak list (12 most intense, 10° ≤ 2θ ≤ 90°, by angle)
| (hkl) | 2theta | I_rel |
| --- | --- | --- |
| 2 0 -1 | 12.0 | 15 |
| 3 1 0 | 26.7 | 15 |
| 6 0 0 | 29.6 | 53 |
| 1 1 -2 | 29.9 | 100 |
| 5 1 -1 | 32.7 | 11 |
| 6 0 -3 | 36.5 | 10 |
| 3 1 -3 | 37.9 | 11 |
| 2 0 -4 | 40.2 | 14 |
| 7 1 -2 | 41.8 | 29 |
| 5 1 2 | 43.4 | 39 |
| 0 2 0 | 45.2 | 18 |
| 6 2 0 | 55.0 | 18 |

---

Diffraction record for As3Pb2BrO6. The powder diffractogram is simulated, not measured: it uses a DFT-relaxed cell (PBE, Alexandria) and copper Kα.
Kinematic intensities with the Lorentz-polarization factor, no thermal factor.

Atomic structure:
a = 8.587 Å, b = 5.463 Å, c = 10.811 Å
α = 90.00°, β = 107.41°, γ = 90.00°
Space group P2_1/m (No. 11)
One atom of each set of equivalent atoms:
As 0.098 0.250 0.334 [2 per cell]
As 0.101 0.250 0.685 [2 per cell]
As 0.239 0.250 0.085 [2 per cell]
Pb 0.346 0.750 0.892 [2 per cell]
Pb 0.474 0.750 0.282 [2 per cell]
Br 0.306 0.750 0.575 [2 per cell]
O 0.024 0.504 0.767 [4 per cell]
O 0.263 0.250 0.263 [2 per cell]
O 0.300 0.250 0.797 [2 per cell]
O 0.385 0.009 0.094 [4 per cell]

Peak list (12 most intense, 10° ≤ 2θ ≤ 90°, by angle)
| (hkl) | 2theta | I_rel |
| --- | --- | --- |
| 1 0 0 | 10.8 | 82 |
| 1 0 -1 | 11.6 | 43 |
| 0 1 2 | 23.7 | 45 |
| 2 1 -1 | 26.5 | 56 |
| 2 1 0 | 27.2 | 99 |
| 1 1 2 | 28.2 | 32 |
| 2 0 -3 | 28.5 | 52 |
| 1 1 -3 | 29.9 | 67 |
| 0 1 3 | 30.7 | 100 |
| 0 2 0 | 32.8 | 73 |
| 3 1 -1 | 35.4 | 64 |
| 2 2 -3 | 43.9 | 57 |

---

Diffraction record for As3Pb5BrO12. The powder diffractogram is simulated, not measured: it uses a DFT-relaxed cell (PBE, Alexandria) and copper Kα.
Kinematic intensities with the Lorentz-polarization factor, no thermal factor.

Atomic structure:
a = 10.6485 Å, b = 10.6485 Å, c = 7.4445 Å
α = 90.00°, β = 90.00°, γ = 120.00°
Space group P6_3/m (No. 176)
One atom of each set of equivalent atoms:
As 0.0305 0.4140 0.2500 [6 per cell]
Pb 0.0279 0.7609 0.2500 [6 per cell]
Pb 0.3333 0.6667 0.5069 [4 per cell]
Br 0.0000 0.0000 0.0000 [2 per cell]
O 0.0919 0.3610 0.0660 [12 per cell]
O 0.1295 0.6037 0.2500 [6 per cell]
O 0.1524 0.6490 0.7500 [6 per cell]

Peak list (12 most intense, 10° ≤ 2θ ≤ 90°, by angle)
| (hkl) | 2theta | I_rel |
| --- | --- | --- |
| 1 1 1 | 20.5 | 16 |
| 1 2 0 | 25.6 | 21 |
| 1 2 1 | 28.3 | 89 |
| 3 0 0 | 29.0 | 57 |
| 1 1 2 | 29.3 | 100 |
| 2 2 2 | 41.7 | 33 |
| 3 1 2 | 42.9 | 15 |
| 2 3 1 | 44.5 | 21 |
| 1 2 3 | 44.8 | 27 |
| 4 1 0 | 45.1 | 24 |
| 4 0 2 | 46.3 | 18 |
| 3 0 4 | 57.9 | 15 |

---

Diffraction record for Rb5AsBr2O4. The powder diffractogram is simulated, not measured: it uses a DFT-relaxed cell (PBE, Alexandria) and copper Kα.
Kinematic intensities with the Lorentz-polarization factor, no thermal factor.

Atomic structure:
a = 9.079 Å, b = 10.645 Å, c = 6.978 Å
α = 90.00°, β = 90.00°, γ = 90.00°
Space group Amm2 (No. 38)
One atom of each set of equivalent atoms:
Rb 0.000 0.000 0.000 [2 per cell]
Rb 0.303 0.183 0.372 [8 per cell]
As 0.500 0.000 0.891 [2 per cell]
Br 0.000 0.190 0.631 [4 per cell]
O 0.346 0.000 0.043 [4 per cell]
O 0.500 0.133 0.745 [4 per cell]

Peak list (12 most intense, 10° ≤ 2θ ≤ 90°, by angle)
| (hkl) | 2theta | I_rel |
| --- | --- | --- |
| 2 1 1 | 24.8 | 68 |
| 2 2 0 | 25.8 | 20 |
| 1 0 2 | 27.4 | 47 |
| 0 3 1 | 28.2 | 100 |
| 3 0 0 | 29.5 | 34 |
| 1 3 1 | 29.9 | 26 |
| 2 0 2 | 32.4 | 32 |
| 2 3 1 | 34.6 | 32 |
| 2 2 2 | 36.6 | 55 |
| 4 0 0 | 39.7 | 20 |
| 3 3 1 | 41.3 | 31 |
| 2 5 1 | 49.0 | 21 |